1.
Starting from DFT lattice parameters and positions (PBE), the powder XRD pattern of UBr5 was computed for Cu Kα X-rays.
Neutral-atom scattering factors, no anomalous dispersion.

Most intense lines, 2θ = 5–70°, by angle:
| 2θ/deg | d/Å | Rel. int. |
| --- | --- | --- |
| 12.9 | 6.887 | 55 |
| 13.6 | 6.518 | 33 |
| 13.8 | 6.424 | 27 |
| 14.7 | 6.020 | 24 |
| 17.7 | 5.019 | 28 |
| 27.6 | 3.237 | 100 |
| 35.7 | 2.518 | 33 |
| 36.0 | 2.494 | 26 |
| 42.5 | 2.127 | 23 |
| 47.0 | 1.934 | 22 |

Structural model:
```
UBr5
1.0
7.4049 0.0000 0.0000
-3.5491 7.2024 0.0000
-0.1541 -4.1318 10.0281
U Br
2 10
Cartesian
-0.0190 0.6175 2.1143
3.7206 2.4531 7.9137
-2.5086 3.4792 5.7934
-1.5542 0.9873 8.4574
0.9533 -2.6904 9.6169
2.1024 -0.9113 2.4914
1.1415 2.6501 3.3266
2.5602 0.4206 6.7014
1.5992 3.9819 7.5367
2.7483 5.7611 0.4111
5.2558 2.0833 1.5707
6.2102 -0.4085 4.2347
```

2.
Starting from DFT lattice parameters and positions (PBE), the powder XRD pattern of TiMn2W was computed for Cu Kα X-rays.
Neutral-atom scattering factors, no anomalous dispersion.

Most intense lines, 2θ = 5–70°, by angle:
| 2θ/deg | d/Å | Rel. int. |
| --- | --- | --- |
| 25.9 | 3.443 | 39 |
| 30.0 | 2.982 | 15 |
| 42.9 | 2.109 | 100 |
| 50.8 | 1.798 | 20 |
| 53.2 | 1.722 | 4 |
| 62.3 | 1.491 | 16 |
| 68.6 | 1.368 | 9 |

Structural model:
```
TiMn2W
1.0
0.0000 2.9821 2.9821
2.9821 0.0000 2.9821
2.9821 2.9821 0.0000
Ti Mn W
1 2 1
Cartesian
0.0000 0.0000 0.0000
1.4910 1.4910 1.4910
4.4731 4.4731 4.4731
2.9821 2.9821 2.9821
```

3.
Starting from DFT lattice parameters and positions (PBE), the powder XRD pattern of SnP2O6 was computed for Cu Kα X-rays.
Neutral-atom scattering factors, no anomalous dispersion.

Most intense lines, 2θ = 5–70°, by angle:
| 2θ/deg | d/Å | Rel. int. |
| --- | --- | --- |
| 18.0 | 4.930 | 48 |
| 18.2 | 4.887 | 14 |
| 21.2 | 4.182 | 31 |
| 23.8 | 3.734 | 100 |
| 24.0 | 3.714 | 60 |
| 28.7 | 3.114 | 24 |
| 35.4 | 2.536 | 22 |
| 36.4 | 2.471 | 40 |
| 45.1 | 2.010 | 21 |
| 45.9 | 1.978 | 13 |

Structural model:
```
SnP2O6
1.0
5.7059 -5.7215 0.0000
5.7059 5.7215 0.0000
0.0000 0.0000 9.7736
Sn P O
4 8 24
Cartesian
4.7678 3.1040 4.9706
6.6440 3.1040 9.6897
4.7678 -3.1040 4.8030
6.6440 -3.1040 0.0838
1.6863 0.0000 4.8868
3.0934 1.2725 2.5594
3.0934 -1.2725 7.2142
5.7059 0.3250 7.3302
5.7059 -0.3250 2.4434
8.3184 1.2725 2.3274
8.3184 -1.2725 7.4462
9.7255 0.0000 0.0000
4.7668 4.4334 0.1931
3.2306 2.6296 3.1921
2.1437 1.1680 1.3827
6.6450 4.4334 4.6936
2.7047 0.1400 3.6444
2.7047 -0.1400 6.1292
2.1437 -1.1680 8.3909
4.5332 0.7450 2.0843
5.3736 1.0705 6.0729
6.0382 1.0705 8.5874
4.5332 -0.7450 7.6893
8.1812 2.6296 1.6947
3.2306 -2.6296 6.5814
6.8786 0.7450 2.8025
5.3736 -1.0705 3.7006
6.0382 -1.0705 1.1861
6.8786 -0.7450 6.9711
9.2681 1.1680 3.5041
8.7071 0.1400 1.2424
8.7071 -0.1400 8.5312
4.7668 -4.4334 9.5804
9.2681 -1.1680 6.2695
8.1812 -2.6296 8.0789
6.6450 -4.4334 5.0799
```

4.
Starting from DFT lattice parameters and positions (PBE), the powder XRD pattern of Ca3B3N5 was computed for Cu Kα X-rays.
Neutral-atom scattering factors, no anomalous dispersion.

Most intense lines, 2θ = 5–70°, by angle:
| 2θ/deg | d/Å | Rel. int. |
| --- | --- | --- |
| 24.7 | 3.607 | 61 |
| 34.0 | 2.636 | 64 |
| 34.4 | 2.607 | 73 |
| 34.8 | 2.577 | 80 |
| 35.3 | 2.546 | 48 |
| 35.9 | 2.502 | 51 |
| 36.6 | 2.456 | 100 |
| 37.8 | 2.378 | 77 |
| 40.2 | 2.244 | 93 |
| 47.9 | 1.899 | 50 |

Structural model:
```
Ca3B3N5
1.0
5.6267 0.0000 0.0000
0.0663 6.2505 0.0000
2.7799 2.6691 6.7937
Ca B N
6 6 10
Cartesian
1.2837 1.9596 1.9829
4.0038 7.9613 6.0852
2.6127 5.0126 2.4414
5.8602 3.9070 4.3523
4.4691 0.9583 0.7085
7.1892 6.9599 4.8109
3.4178 4.2906 5.1006
4.8040 5.3612 6.2958
3.9119 2.3544 3.2208
4.5610 6.5651 3.5729
3.6689 3.5584 0.4979
5.0551 4.6290 1.6931
2.8526 3.2744 4.1634
3.9473 4.0234 6.4626
2.1062 3.6940 0.6746
3.9885 5.6794 4.8336
3.3178 7.2329 2.7944
5.1551 1.6866 3.9993
4.4844 3.2401 1.9601
6.3667 5.2256 6.1191
4.5256 4.8961 0.3311
5.6203 5.6452 2.6303
```

5.
Starting from DFT lattice parameters and positions (PBE), the powder XRD pattern of CaCd2Pd was computed for Cu Kα X-rays.
Neutral-atom scattering factors, no anomalous dispersion.

Most intense lines, 2θ = 5–70°, by angle:
| 2θ/deg | d/Å | Rel. int. |
| --- | --- | --- |
| 19.1 | 4.640 | 57 |
| 19.2 | 4.615 | 87 |
| 31.2 | 2.871 | 41 |
| 35.1 | 2.558 | 81 |
| 35.5 | 2.528 | 66 |
| 37.1 | 2.424 | 92 |
| 38.3 | 2.349 | 100 |
| 39.9 | 2.260 | 68 |
| 40.5 | 2.229 | 88 |
| 58.8 | 1.571 | 48 |

Structural model:
```
CaCd2Pd
1.0
8.0547 0.0000 0.0000
0.0000 8.1888 0.0000
0.0000 0.0000 5.6317
Ca Cd Pd
4 8 4
Cartesian
0.2703 2.0472 0.5699
3.7571 6.1416 3.3857
4.2977 2.0472 2.2460
7.7844 6.1416 5.0618
1.3840 0.4542 3.3511
1.3840 3.6402 3.3511
2.6434 4.5486 0.5353
2.6434 7.7346 0.5353
5.4114 0.4542 5.0964
5.4114 3.6402 5.0964
6.6707 4.5486 2.2806
6.6707 7.7346 2.2806
0.9820 6.1416 2.1540
3.0453 2.0472 4.9698
5.0094 6.1416 0.6619
7.0727 2.0472 3.4777
```

6.
Starting from DFT lattice parameters and positions (PBE), the powder XRD pattern of Gd2NiRu was computed for Cu Kα X-rays.
Neutral-atom scattering factors, no anomalous dispersion.

Most intense lines, 2θ = 5–70°, by angle:
| 2θ/deg | d/Å | Rel. int. |
| --- | --- | --- |
| 22.5 | 3.943 | 2 |
| 26.1 | 3.415 | 11 |
| 37.2 | 2.415 | 100 |
| 44.0 | 2.059 | 1 |
| 46.0 | 1.972 | 3 |
| 53.7 | 1.707 | 17 |
| 60.6 | 1.527 | 5 |
| 67.1 | 1.394 | 35 |

Structural model:
```
Gd2NiRu
1.0
0.0000 3.4149 3.4149
3.4149 0.0000 3.4149
3.4149 3.4149 0.0000
Gd Ni Ru
2 1 1
Cartesian
1.7074 1.7074 1.7074
5.1223 5.1223 5.1223
0.0000 0.0000 0.0000
3.4149 3.4149 3.4149
```